[1]
Calculated powder diffractogram of LaTlAsHCl for Cu Ka, from a DFT-relaxed cell (GGA-PBE, Alexandria).
Lines closer than 0.1° are merged.

```
LaTlAsHCl
1.0
3.985 0.000 0.000
-1.992 3.451 0.000
0.000 0.000 28.589
La Tl As H Cl
3 3 3 3 3
Cartesian
0.000 0.000 0.000 La
0.000 2.300 19.059 La
1.992 1.150 9.530 La
0.000 0.000 4.289 Tl
0.000 2.300 23.348 Tl
1.992 1.150 13.819 Tl
0.000 0.000 21.291 As
0.000 2.300 11.761 As
1.992 1.150 2.232 As
0.000 0.000 9.652 H
0.000 2.300 0.122 H
1.992 1.150 19.182 H
0.000 0.000 17.229 Cl
0.000 2.300 7.699 Cl
1.992 1.150 26.759 Cl
```

Main lines, by intensity (2θ = 15–90°):
| d (Å) | Rel. int. |
| --- | --- |
| 2.636 | 100.0 |
| 2.954 | 89.9 |
| 3.426 | 68.4 |
| 3.354 | 64.8 |
| 1.992 | 58.5 |
| 2.482 | 56.2 |
| 4.765 | 51.7 |
| 1.855 | 28.5 |
| 1.528 | 27.5 |
| 1.838 | 25.2 |

***

[2]
Calculated powder diffractogram of LuBi2ClO4 for Cu Ka, from a DFT-relaxed cell (GGA-PBE, Alexandria).
Lines closer than 0.1° are merged.

```
LuBi2ClO4
1.0
3.856 0.000 0.000
0.000 3.856 0.000
0.000 0.000 9.030
Lu Bi Cl O
1 2 1 4
Cartesian
0.000 0.000 0.000 Lu
1.928 1.928 2.486 Bi
1.928 1.928 6.544 Bi
0.000 0.000 4.515 Cl
0.000 1.928 1.339 O
0.000 1.928 7.691 O
1.928 0.000 1.339 O
1.928 0.000 7.691 O
```

Main lines, by intensity (2θ = 15–90°):
| d (Å) | Rel. int. |
| --- | --- |
| 2.932 | 100.0 |
| 2.727 | 34.9 |
| 1.611 | 34.5 |
| 1.739 | 21.0 |
| 1.928 | 19.5 |
| 3.546 | 18.0 |
| 2.021 | 14.6 |
| 3.856 | 10.9 |
| 1.635 | 9.6 |
| 1.466 | 8.7 |

***

[3]
Calculated powder diffractogram of NdTmBiO2 for Cu Ka, from a DFT-relaxed cell (GGA-PBE, Alexandria).
Lines closer than 0.1° are merged.

```
NdTmBiO2
1.0
3.927 0.000 0.000
0.000 3.927 0.000
0.000 0.000 13.750
Nd Tm Bi O
2 2 2 4
Cartesian
0.000 0.000 0.000 Nd
1.963 1.963 6.875 Nd
0.000 0.000 4.609 Tm
1.963 1.963 11.483 Tm
0.000 0.000 9.207 Bi
1.963 1.963 2.332 Bi
0.000 1.963 5.617 O
0.000 1.963 12.491 O
1.963 0.000 5.617 O
1.963 0.000 12.491 O
```

Main lines, by intensity (2θ = 15–90°):
| d (Å) | Rel. int. |
| --- | --- |
| 2.982 | 100.0 |
| 2.777 | 36.1 |
| 1.640 | 35.0 |
| 1.767 | 24.5 |
| 1.963 | 17.3 |
| 1.491 | 11.6 |
| 1.153 | 11.4 |
| 1.424 | 11.0 |
| 1.092 | 10.8 |
| 2.292 | 10.8 |

***

[4]
Calculated powder diffractogram of NdYGaAg for Cu Ka, from a DFT-relaxed cell (GGA-PBE, Alexandria).
Lines closer than 0.1° are merged.

```
NdYGaAg
1.0
7.366 0.000 0.000
0.000 7.366 0.000
0.000 0.000 7.366
Nd Y Ga Ag
4 4 4 4
Cartesian
0.000 0.000 0.000 Nd
0.000 3.683 3.683 Nd
3.683 0.000 3.683 Nd
3.683 3.683 0.000 Nd
0.000 0.000 3.683 Y
0.000 3.683 0.000 Y
3.683 0.000 0.000 Y
3.683 3.683 3.683 Y
1.841 1.841 1.841 Ga
1.841 5.524 5.524 Ga
5.524 1.841 5.524 Ga
5.524 5.524 1.841 Ga
1.841 1.841 5.524 Ag
1.841 5.524 1.841 Ag
5.524 1.841 1.841 Ag
5.524 5.524 5.524 Ag
```

Main lines, by intensity (2θ = 15–90°):
| d (Å) | Rel. int. |
| --- | --- |
| 2.604 | 100.0 |
| 1.504 | 35.5 |
| 1.841 | 17.5 |
| 1.165 | 15.2 |
| 1.302 | 10.8 |
| 4.253 | 5.7 |
| 2.221 | 3.2 |
| 3.683 | 1.7 |
| 1.690 | 1.4 |
| 1.418 | 1.0 |

***

[5]
Calculated powder diffractogram of Na5B7C3 for Cu Ka, from a DFT-relaxed cell (GGA-PBE, Alexandria).
Lines closer than 0.1° are merged.

```
Na5B7C3
1.0
8.563 0.000 0.000
0.000 1.418 12.820
0.000 -1.418 12.820
Na B C
10 14 6
Cartesian
2.099 0.000 0.000 Na
2.111 0.000 5.118 Na
2.130 0.000 10.245 Na
2.136 0.000 15.388 Na
2.132 0.000 20.502 Na
6.432 0.000 10.245 Na
6.427 0.000 15.388 Na
6.431 0.000 20.502 Na
6.452 0.000 5.118 Na
6.464 0.000 0.000 Na
0.000 0.000 1.879 B
0.000 0.000 6.823 B
0.000 0.000 11.803 B
0.000 0.000 13.658 B
0.000 0.000 17.162 B
0.000 0.000 22.122 B
4.281 0.000 1.731 B
4.281 0.000 3.449 B
4.281 0.000 6.829 B
4.281 0.000 8.488 B
4.281 0.000 13.579 B
4.281 0.000 18.595 B
4.281 0.000 22.335 B
4.281 0.000 24.054 B
0.000 0.000 3.513 C
0.000 0.000 8.491 C
0.000 0.000 18.822 C
0.000 0.000 23.808 C
4.281 0.000 11.988 C
4.281 0.000 17.054 C
```

Main lines, by intensity (2θ = 15–90°):
| d (Å) | Rel. int. |
| --- | --- |
| 2.147 | 100.0 |
| 2.200 | 50.9 |
| 2.141 | 38.0 |
| 1.464 | 17.7 |
| 2.482 | 17.5 |
| 1.208 | 17.0 |
| 1.237 | 12.6 |
| 2.564 | 10.9 |
| 1.192 | 10.4 |
| 1.621 | 9.8 |

***

[6]
Calculated powder diffractogram of SiBRhCS for Cu Ka, from a DFT-relaxed cell (GGA-PBE, Alexandria).
Lines closer than 0.1° are merged.

```
SiBRhCS
1.0
2.986 0.000 0.000
-1.493 2.586 0.000
0.000 0.000 24.014
Si B Rh C S
3 3 3 3 3
Cartesian
0.000 0.000 0.000 Si
0.000 1.724 16.009 Si
1.493 0.862 8.005 Si
0.000 0.000 13.676 B
0.000 1.724 5.672 B
1.493 0.862 21.681 B
0.000 0.000 2.303 Rh
0.000 1.724 18.312 Rh
1.493 0.862 10.308 Rh
0.000 0.000 15.237 C
0.000 1.724 7.232 C
1.493 0.862 23.241 C
0.000 0.000 4.779 S
0.000 1.724 20.788 S
1.493 0.862 12.783 S
```

Main lines, by intensity (2θ = 15–90°):
| d (Å) | Rel. int. |
| --- | --- |
| 2.528 | 100.0 |
| 2.571 | 98.1 |
| 2.668 | 49.3 |
| 1.760 | 40.1 |
| 1.668 | 36.3 |
| 1.959 | 34.1 |
| 1.493 | 30.3 |
| 1.303 | 28.8 |
| 4.002 | 20.4 |
| 2.065 | 19.9 |

***

[7]
Calculated powder diffractogram of La3SiP5 for Cu Ka, from a DFT-relaxed cell (GGA-PBE, Alexandria).
Lines closer than 0.1° are merged.

```
La3SiP5
1.0
-3.871 6.943 3.685
3.871 -6.943 3.685
3.871 6.943 -3.685
La Si P
6 2 10
Cartesian
3.871 -3.471 2.381 La
0.000 0.411 1.828 La
3.871 0.411 1.857 La
0.000 6.532 1.828 La
3.871 6.532 1.857 La
0.000 10.414 1.304 La
3.871 3.471 0.474 Si
0.000 3.471 3.211 Si
2.021 1.680 -0.066 P
5.721 1.680 -0.066 P
2.021 5.263 -0.066 P
1.850 -1.680 3.619 P
-1.936 3.471 1.843 P
1.936 3.471 1.843 P
2.021 8.623 0.066 P
1.850 1.680 3.751 P
-1.850 5.263 3.751 P
1.850 5.263 3.751 P
```

Main lines, by intensity (2θ = 15–90°):
| d (Å) | Rel. int. |
| --- | --- |
| 2.584 | 100.0 |
| 2.754 | 97.5 |
| 2.669 | 95.6 |
| 2.527 | 77.8 |
| 3.920 | 67.3 |
| 3.871 | 53.6 |
| 2.491 | 44.9 |
| 1.717 | 44.5 |
| 3.471 | 38.9 |
| 3.685 | 35.0 |

***

[8]
Calculated powder diffractogram of Pm3MgSn for Cu Ka, from a DFT-relaxed cell (GGA-PBE, Alexandria).
Lines closer than 0.1° are merged.

```
Pm3MgSn
1.0
7.195 -7.003 0.000
7.195 7.003 0.000
-1.041 0.000 6.276
Pm Mg Sn
12 4 4
Cartesian
5.025 5.249 6.201 Pm
4.119 2.864 1.926 Pm
7.803 5.249 3.213 Pm
3.614 0.623 5.493 Pm
4.135 -0.623 2.355 Pm
9.750 2.864 1.212 Pm
3.599 -2.864 5.063 Pm
9.214 0.623 3.920 Pm
9.735 -0.623 0.783 Pm
5.546 -5.249 3.063 Pm
9.229 -2.864 4.350 Pm
8.323 -5.249 0.075 Pm
6.414 2.331 4.707 Mg
6.935 1.297 1.569 Mg
6.414 -1.297 4.707 Mg
6.935 -2.331 1.569 Mg
1.478 1.294 3.229 Sn
1.999 -1.294 0.091 Sn
11.350 1.294 6.185 Sn
11.870 -1.294 3.047 Sn
```

Main lines, by intensity (2θ = 15–90°):
| d (Å) | Rel. int. |
| --- | --- |
| 2.896 | 100.0 |
| 3.060 | 47.0 |
| 2.783 | 34.2 |
| 2.569 | 29.6 |
| 2.411 | 24.5 |
| 3.407 | 22.4 |
| 2.710 | 20.3 |
| 3.140 | 19.5 |
| 2.748 | 18.3 |
| 2.337 | 17.0 |

***

[9]
Calculated powder diffractogram of Pu2ReRu3 for Cu Ka, from a DFT-relaxed cell (GGA-PBE, Alexandria).
Lines closer than 0.1° are merged.

```
Pu2ReRu3
1.0
5.531 0.000 0.000
-2.766 4.790 0.000
0.000 0.000 8.068
Pu Re Ru
4 2 6
Cartesian
0.000 3.193 0.577 Pu
0.000 3.193 3.457 Pu
2.766 1.597 4.611 Pu
2.766 1.597 7.490 Pu
0.000 0.000 0.000 Re
0.000 0.000 4.034 Re
0.000 1.635 6.051 Ru
-1.350 3.973 6.051 Ru
1.416 0.817 2.017 Ru
1.350 3.973 6.051 Ru
4.115 0.817 2.017 Ru
2.766 3.155 2.017 Ru
```

Main lines, by intensity (2θ = 15–90°):
| d (Å) | Rel. int. |
| --- | --- |
| 2.281 | 100.0 |
| 2.345 | 77.9 |
| 2.766 | 76.7 |
| 2.296 | 59.9 |
| 1.502 | 37.3 |
| 1.383 | 28.5 |
| 1.485 | 26.5 |
| 1.191 | 18.7 |
| 1.338 | 18.7 |
| 1.597 | 15.5 |

***

[10]
Calculated powder diffractogram of B12S for Cu Ka, from a DFT-relaxed cell (GGA-PBE, Alexandria).
Lines closer than 0.1° are merged.

```
B12S
1.0
2.797 1.615 4.115
-2.797 1.615 4.115
0.000 -3.229 4.115
B S
12 1
Cartesian
-1.358 -0.784 4.115 B
0.000 -1.679 3.495 B
-1.454 0.840 3.495 B
0.000 -2.167 6.513 B
-1.877 1.084 6.513 B
0.000 -1.047 5.196 B
-0.907 0.524 5.196 B
1.358 -0.784 4.115 B
0.000 1.568 4.115 B
1.454 0.840 3.495 B
0.907 0.524 5.196 B
1.877 1.084 6.513 B
0.000 0.000 8.920 S
```

Main lines, by intensity (2θ = 15–90°):
| d (Å) | Rel. int. |
| --- | --- |
| 3.811 | 100.0 |
| 2.377 | 76.5 |
| 2.603 | 60.4 |
| 4.115 | 41.7 |
| 2.313 | 36.8 |
| 1.471 | 31.1 |
| 4.509 | 30.4 |
| 1.657 | 19.7 |
| 1.426 | 14.2 |
| 1.503 | 13.7 |

***

[11]
Calculated powder diffractogram of AlPtO for Cu Ka, from a DFT-relaxed cell (GGA-PBE, Alexandria).
Lines closer than 0.1° are merged.

```
AlPtO
1.0
2.845 0.000 0.000
-1.422 2.464 0.000
0.000 0.000 16.588
Al Pt O
3 3 3
Cartesian
0.000 0.000 0.000 Al
0.000 1.642 11.059 Al
1.422 0.821 5.529 Al
0.000 0.000 9.026 Pt
0.000 1.642 3.496 Pt
1.422 0.821 14.555 Pt
0.000 0.000 6.328 O
0.000 1.642 0.798 O
1.422 0.821 11.857 O
```

Main lines, by intensity (2θ = 15–90°):
| d (Å) | Rel. int. |
| --- | --- |
| 5.529 | 100.0 |
| 2.362 | 66.1 |
| 2.437 | 50.2 |
| 2.118 | 41.9 |
| 1.978 | 34.9 |
| 2.765 | 33.5 |
| 1.708 | 25.4 |
| 1.377 | 22.1 |
| 1.265 | 17.5 |
| 1.422 | 16.6 |